Structure and computed powder X-ray diffraction pattern of PrYEr2Tm2 (a crystal structure in Alexandria, relaxed with PBE; Cu Kα, 1.54184 Å).
No peak broadening, texture or thermal motion is included.

Peak list (10 most intense, 10° ≤ 2θ ≤ 90°, most intense first)
d (Å)  I_rel
2.939  100
2.439  54
2.616  44
3.174  38
2.667  36
1.677  28
1.490  26
2.239  21
1.452  21
1.120  19

Lattice parameters (Å, degrees): 6.9159 16.0024 3.5217 90.00 90.00 90.00
Positions (direct):
Pr (0.0000, 0.0000, 0.0000)
Pr (0.5000, 0.5000, 0.5000)
Y (0.0000, 0.5000, 0.5000)
Y (0.5000, 0.0000, 0.0000)
Er (0.2505, 0.1582, 0.5000)
Er (0.2495, 0.6582, 0.0000)
Er (0.7505, 0.3418, 0.0000)
Er (0.7495, 0.8418, 0.5000)
Tm (0.2502, 0.3431, 0.0000)
Tm (0.2498, 0.8431, 0.5000)
Tm (0.7502, 0.1569, 0.5000)
Tm (0.7498, 0.6569, 0.0000)

---

Structure and computed powder X-ray diffraction pattern of Pr3YEr2Tm6 (a crystal structure in Alexandria, relaxed with PBE; Cu Kα, 1.54184 Å).
No peak broadening, texture or thermal motion is included.

Peak list (10 most intense, 10° ≤ 2θ ≤ 90°, most intense first)
d (Å)  I_rel
2.907  100
2.513  67
2.885  32
1.516  28
1.782  24
1.772  23
1.519  14
1.510  14
1.453  12
1.156  12

Lattice parameters (Å, degrees): 6.1710 6.1710 11.7202 95.03 95.03 119.97
Positions (direct):
Pr (0.0000, 0.0000, 0.0000)
Pr (0.3333, 0.6667, 0.0000)
Pr (0.6667, 0.3333, 0.0000)
Y (0.5000, 0.5000, 0.5000)
Er (0.1667, 0.8333, 0.5000)
Er (0.8333, 0.1667, 0.5000)
Tm (0.0838, 0.4180, 0.2546)
Tm (0.2478, 0.2478, 0.7455)
Tm (0.4180, 0.0838, 0.2546)
Tm (0.5820, 0.9162, 0.7454)
Tm (0.7522, 0.7522, 0.2545)
Tm (0.9162, 0.5820, 0.7454)

---

Which formula does entry 2 have? Pr3YEr2Tm6